1.
For Ti6CuN, a cell relaxed with PBE gives the calculated X-ray powder pattern in this record (λ = 1.5418 Å (Cu Kα)).
Lines closer than 0.1° are merged.

Principal peaks in the range 10° ≤ 2θ ≤ 90°, sorted by position:
two_theta, I/Imax
37.93, 78
38.48, 100
39.16, 73
39.27, 96
39.92, 91
40.84, 97
53.30, 31
69.02, 28

Cell and atoms:
```
data_Ti6CuN
_chemical_formula_sum 'Ti6 Cu1 N1'
_cell_length_a 4.6877
_cell_length_b 5.2431
_cell_length_c 5.3649
_cell_angle_alpha 98.71
_cell_angle_beta 112.29
_cell_angle_gamma 90.92
_space_group_name_H-M_alt 'P -1'
_space_group_IT_number 2
_space_group_name_Hall '-P 1'
loop_
_atom_site_label
_atom_site_type_symbol
_atom_site_fract_x
_atom_site_fract_y
_atom_site_fract_z
Ti1 Ti 0.0620 0.2932 0.1547
Ti2 Ti 0.2291 0.8270 0.4722
Ti3 Ti 0.3992 0.3785 0.7497
Cu1 Cu 0.5000 0.0000 0.0000
N1 N 0.0000 0.5000 0.5000
```

---

2.
For Cd4TcO6, a cell relaxed with PBE gives the calculated X-ray powder pattern in this record (λ = 1.5418 Å (Cu Kα)).
Lines closer than 0.1° are merged.

Principal peaks in the range 10° ≤ 2θ ≤ 90°, sorted by position:
two_theta, I/Imax
27.39, 80
28.08, 60
29.24, 66
29.73, 100
31.89, 45
32.20, 68
32.79, 68
38.28, 48

Cell and atoms:
```
data_Cd4TcO6
_chemical_formula_sum 'Cd16 Tc4 O24'
_cell_length_a 11.0701
_cell_length_b 6.2561
_cell_length_c 11.4413
_cell_angle_alpha 90.00
_cell_angle_beta 109.26
_cell_angle_gamma 90.00
_space_group_name_H-M_alt 'C 1 c 1'
_space_group_IT_number 9
_space_group_name_Hall 'C -2yc'
loop_
_atom_site_label
_atom_site_type_symbol
_atom_site_fract_x
_atom_site_fract_y
_atom_site_fract_z
Cd1 Cd 0.0000 0.1147 0.0000
Cd2 Cd 0.1510 0.3776 0.5090
Cd3 Cd 0.1794 0.1545 0.8044
Cd4 Cd 0.3574 0.1671 0.1266
Tc1 Tc 0.4381 0.3115 0.7451
O1 O 0.0428 0.1962 0.6114
O2 O 0.1113 0.2018 0.3218
O3 O 0.1732 0.2769 0.9839
O4 O 0.3597 0.2166 0.5764
O5 O 0.3724 0.4487 0.2911
O6 O 0.3744 0.0612 0.7953
```

---

3.
For PmBeSi2Ni4, a cell relaxed with PBE gives the calculated X-ray powder pattern in this record (λ = 1.5418 Å (Cu Kα)).
Lines closer than 0.1° are merged.

Principal peaks in the range 10° ≤ 2θ ≤ 90°, sorted by position:
two_theta, I/Imax
26.71, 29
27.46, 36
32.25, 71
37.05, 100
39.79, 49
46.69, 100
61.05, 22
80.22, 19

Cell and atoms:
```
data_PmBeSi2Ni4
_chemical_formula_sum 'Pm3 Be3 Si6 Ni12'
_cell_length_a 3.8907
_cell_length_b 3.8907
_cell_length_c 24.4819
_cell_angle_alpha 90.00
_cell_angle_beta 90.00
_cell_angle_gamma 120.00
_space_group_name_H-M_alt 'R -3 m'
_space_group_IT_number 166
_space_group_name_Hall '-R 3 2"'
loop_
_atom_site_label
_atom_site_type_symbol
_atom_site_fract_x
_atom_site_fract_y
_atom_site_fract_z
Pm1 Pm 0.0000 0.0000 0.0000
Be1 Be 0.0000 0.0000 0.5000
Si1 Si 0.0000 0.0000 0.2363
Ni1 Ni 0.0000 0.0000 0.1375
Ni2 Ni 0.0000 0.0000 0.4128
```

---

4.
For Th2NpAu6, a cell relaxed with PBE gives the calculated X-ray powder pattern in this record (λ = 1.5418 Å (Cu Kα)).
Lines closer than 0.1° are merged.

Principal peaks in the range 10° ≤ 2θ ≤ 90°, sorted by position:
two_theta, I/Imax
34.38, 100
37.20, 87
51.55, 32
65.27, 32
67.07, 16
68.35, 30
79.27, 10
89.34, 15

Cell and atoms:
```
data_Th2NpAu6
_chemical_formula_sum 'Th2 Np1 Au6'
_cell_length_a 8.3730
_cell_length_b 8.3730
_cell_length_c 3.3343
_cell_angle_alpha 90.00
_cell_angle_beta 90.00
_cell_angle_gamma 120.00
_space_group_name_H-M_alt 'P 6/m m m'
_space_group_IT_number 191
_space_group_name_Hall '-P 6 2'
loop_
_atom_site_label
_atom_site_type_symbol
_atom_site_fract_x
_atom_site_fract_y
_atom_site_fract_z
Th1 Th 0.3333 0.6667 0.0000
Np1 Np 0.0000 0.0000 0.0000
Au1 Au 0.0000 0.3321 0.5000
```

---

5.
For CsH7C4O10, a cell relaxed with PBE gives the calculated X-ray powder pattern in this record (λ = 1.5418 Å (Cu Kα)).
Lines closer than 0.1° are merged.

Principal peaks in the range 10° ≤ 2θ ≤ 90°, sorted by position:
two_theta, I/Imax
14.16, 56
16.52, 38
17.54, 60
19.08, 42
19.93, 37
25.10, 49
26.47, 100
26.90, 96

Cell and atoms:
```
data_CsH7C4O10
_chemical_formula_sum 'Cs2 H14 C8 O20'
_cell_length_a 6.7482
_cell_length_b 7.4939
_cell_length_c 10.9132
_cell_angle_alpha 91.54
_cell_angle_beta 102.44
_cell_angle_gamma 99.72
_space_group_name_H-M_alt 'P -1'
_space_group_IT_number 2
_space_group_name_Hall '-P 1'
loop_
_atom_site_label
_atom_site_type_symbol
_atom_site_fract_x
_atom_site_fract_y
_atom_site_fract_z
Cs1 Cs 0.1562 0.1549 0.2735
H1 H 0.0826 0.2986 0.9258
H2 H 0.1349 0.6581 0.2414
H3 H 0.1447 0.7913 0.0652
H4 H 0.2497 0.1897 0.6070
H5 H 0.2667 0.9818 0.5752
H6 H 0.3655 0.5612 0.7593
H7 H 0.3762 0.0623 0.7595
C1 C 0.2375 0.6766 0.4277
C2 C 0.2801 0.5593 0.5441
C3 C 0.4178 0.9857 0.9376
C4 C 0.4857 0.4536 0.0608
O1 O 0.0571 0.7503 0.1247
O2 O 0.1752 0.5810 0.3193
O3 O 0.2393 0.3897 0.5252
O4 O 0.2433 0.0669 0.6401
O5 O 0.2452 0.8929 0.9296
O6 O 0.2621 0.8438 0.4407
O7 O 0.3274 0.3431 0.0621
O8 O 0.3526 0.6529 0.6481
O9 O 0.3567 0.4943 0.8455
O10 O 0.4868 0.0695 0.8473
```